Record 1
Starting from a GGA-PBE-relaxed structure, the powder X-ray diffraction pattern of Ca2Zn2InRh5 was simulated for Cu Kα (λ = 1.5418 Å).
No peak broadening, texture or thermal motion is included.

Crystal structure
Cell lengths 9.607, 9.607, 3.773 Å; angles 90.00, 90.00, 90.00 degrees
Space group P4/mbm (No. 127)
Unique sites:
Ca1 0.176 0.324 0.000 x4
Zn1 0.123 0.623 0.000 x4
In1 0.000 0.000 0.000 x2
Rh1 0.000 0.500 0.500 x2
Rh2 0.063 0.793 0.500 x8

Largest 6 diffraction maxima, by intensity, 10° ≤ 2θ ≤ 90°:
d (Å)  I (rel.)
2.366  100
2.176  40
1.886  30
2.330  29
2.524  26
4.296  23

---

Record 2
Starting from a GGA-PBE-relaxed structure, the powder X-ray diffraction pattern of Ca2InRu2 was simulated for Cu Kα (λ = 1.5418 Å).
No peak broadening, texture or thermal motion is included.

Crystal structure
Cell lengths 6.924, 6.924, 4.669 Å; angles 90.00, 90.00, 90.00 degrees
Space group P4/mbm (No. 127)
Unique sites:
Ca1 0.174 0.326 0.000 x4
In1 0.000 0.000 0.500 x2
Ru1 0.122 0.622 0.500 x4

Largest 6 diffraction maxima, by intensity, 10° ≤ 2θ ≤ 90°:
d (Å)  I (rel.)
2.581  100
4.669  77
2.190  48
2.781  45
2.335  37
1.982  35

---

Record 3
Starting from a GGA-PBE-relaxed structure, the powder X-ray diffraction pattern of Ca3InS4 was simulated for Cu Kα (λ = 1.5418 Å).
No peak broadening, texture or thermal motion is included.

Crystal structure
Cell lengths 5.611, 9.627, 8.433 Å; angles 90.00, 90.00, 90.00 degrees
Space group Pmmn (No. 59, origin choice 2)
Unique sites:
Ca1 0.250 0.000 0.166 x4
Ca2 0.250 0.250 0.664 x2
In1 0.250 0.750 0.668 x2
S1 0.250 0.003 0.836 x4
S2 0.250 0.250 0.334 x2
S3 0.250 0.750 0.332 x2

Largest 6 diffraction maxima, by intensity, 10° ≤ 2θ ≤ 90°:
d (Å)  I (rel.)
4.180  100
2.428  93
1.836  71
2.806  69
4.215  56
2.407  42

---

Record 4
Starting from a GGA-PBE-relaxed structure, the powder X-ray diffraction pattern of CaInSb2 was simulated for Cu Kα (λ = 1.5418 Å).
No peak broadening, texture or thermal motion is included.

Crystal structure
Cell lengths 21.921, 4.526, 4.525 Å; angles 90.00, 90.00, 90.00 degrees
Space group Pnma (No. 62)
Unique sites:
Ca1 0.114 0.250 0.250 x4
In1 0.250 0.250 0.749 x4
Sb1 0.000 0.250 0.750 x4
Sb2 0.138 0.750 0.750 x4

Largest 6 diffraction maxima, by intensity, 10° ≤ 2θ ≤ 90°:
d (Å)  I (rel.)
2.763  100
2.263  29
1.385  22
1.745  22
2.740  21
1.586  13

---

Record 5
Starting from a GGA-PBE-relaxed structure, the powder X-ray diffraction pattern of Ca5In2Sb6 was simulated for Cu Kα (λ = 1.5418 Å).
No peak broadening, texture or thermal motion is included.

Crystal structure
Cell lengths 12.167, 14.358, 4.619 Å; angles 90.00, 90.00, 90.00 degrees
Space group Pbam (No. 55)
Unique sites:
Ca1 0.000 0.000 0.000 x2
Ca2 0.090 0.248 0.000 x4
Ca3 0.177 0.516 0.000 x4
In1 0.162 0.714 0.500 x4
Sb1 0.040 0.404 0.500 x4
Sb2 0.150 0.092 0.500 x4
Sb3 0.163 0.831 0.000 x4

Largest 6 diffraction maxima, by intensity, 10° ≤ 2θ ≤ 90°:
d (Å)  I (rel.)
2.917  100
3.700  74
2.309  61
2.978  60
2.062  54
2.570  53

---

Record 6
Starting from a GGA-PBE-relaxed structure, the powder X-ray diffraction pattern of CaInSb2 was simulated for Cu Kα (λ = 1.5418 Å).
No peak broadening, texture or thermal motion is included.

Crystal structure
Cell lengths 3.429, 5.728, 5.733 Å; angles 90.00, 90.04, 90.00 degrees
Space group Pm (No. 6)
Unique sites:
Ca1 0.000 0.000 0.000 x1
In1 0.002 0.500 0.498 x1
Sb1 0.419 0.500 0.998 x1
Sb2 0.582 0.000 0.500 x1

Largest 6 diffraction maxima, by intensity, 10° ≤ 2θ ≤ 90°:
d (Å)  I (rel.)
2.618  100
2.865  76
1.602  43
2.026  27
2.943  20
2.053  14